No. 1
Theoretical X-ray powder pattern
Compound: ZrCd2H12O6F8
Radiation: Cu Kα
Structure: a DFT-relaxed cell (GGA-PBE, Alexandria)

Cell and atoms:
```
data_ZrCd2H12O6F8
_space_group_name_H-M_alt 'C 1 2/c 1'
_space_group_IT_number 15
_space_group_name_Hall '-C 2yc'
_cell_length_a 11.668
_cell_length_b 8.379
_cell_length_c 12.630
_cell_angle_alpha 90.00
_cell_angle_beta 111.06
_cell_angle_gamma 90.00
loop_
_atom_site_label
_atom_site_type_symbol
_atom_site_fract_x
_atom_site_fract_y
_atom_site_fract_z
Zr1 Zr 0.000 0.234 0.250
Cd1 Cd 0.177 0.119 0.714
H1 H 0.051 0.318 0.530
H2 H 0.061 0.416 0.643
H3 H 0.101 0.255 0.886
H4 H 0.137 0.029 0.483
H5 H 0.223 0.416 0.448
H6 H 0.230 0.334 0.900
O1 O 0.037 0.311 0.604
O2 O 0.180 0.234 0.875
O3 O 0.207 0.021 0.557
F1 F 0.011 0.034 0.360
F2 F 0.094 0.319 0.420
F3 F 0.108 0.425 0.221
F4 F 0.184 0.146 0.285
```

Most intense lines, 2θ from 10° to 90°, by angle:
2θ (°)	I_rel	h k l
13.3	20	1 1 0
15.0	100	0 0 2
22.5	28	0 2 1
25.3	41	3 1 -1
28.8	21	2 0 -4
31.2	23	2 2 -3

---

No. 2
Theoretical X-ray powder pattern
Compound: HfCd2F11
Radiation: Cu Kα
Structure: a DFT-relaxed cell (GGA-PBE, Alexandria)

Cell and atoms:
```
data_HfCd2F11
_space_group_name_H-M_alt 'I b a m'
_space_group_IT_number 72
_space_group_name_Hall '-I 2 2c'
_cell_length_a 8.360
_cell_length_b 10.087
_cell_length_c 10.587
_cell_angle_alpha 90.00
_cell_angle_beta 90.00
_cell_angle_gamma 90.00
loop_
_atom_site_label
_atom_site_type_symbol
_atom_site_fract_x
_atom_site_fract_y
_atom_site_fract_z
Hf1 Hf 0.000 0.000 0.250
Cd1 Cd 0.209 0.286 0.000
F1 F 0.000 0.500 0.000
F2 F 0.064 0.339 0.500
F3 F 0.097 0.167 0.156
F4 F 0.182 0.065 0.369
```

Most intense lines, 2θ from 10° to 90°, by angle:
2θ (°)	I_rel	h k l
13.8	82	1 1 0
21.7	100	1 1 2
24.4	86	0 2 2
27.2	53	2 0 2
27.7	44	2 2 0
44.3	42	2 2 4

---

No. 3
Theoretical X-ray powder pattern
Compound: Cd4HgF10
Radiation: Cu Kα
Structure: a DFT-relaxed cell (GGA-PBE, Alexandria)

Cell and atoms:
```
data_Cd4HgF10
_space_group_name_H-M_alt 'R -3 m'
_space_group_IT_number 166
_space_group_name_Hall '-R 3 2"'
_cell_length_a 3.8991
_cell_length_b 3.8991
_cell_length_c 47.9096
_cell_angle_alpha 90.00
_cell_angle_beta 90.00
_cell_angle_gamma 120.00
loop_
_atom_site_label
_atom_site_type_symbol
_atom_site_fract_x
_atom_site_fract_y
_atom_site_fract_z
Cd1 Cd 0.0000 0.0000 0.0985
Cd2 Cd 0.0000 0.0000 0.3005
Hg1 Hg 0.0000 0.0000 0.5000
F1 F 0.0000 0.0000 0.0493
F2 F 0.0000 0.0000 0.1486
F3 F 0.0000 0.0000 0.2509
F4 F 0.0000 0.0000 0.3499
F5 F 0.0000 0.0000 0.4484
```

Most intense lines, 2θ from 10° to 90°, by angle:
2θ (°)	I_rel	h k l
28.0	100	0 1 5
32.4	25	1 0 10
46.5	30	0 1 20
46.6	30	1 1 0
55.2	33	1 1 15
86.4	14	3 0 0

---

No. 4
Theoretical X-ray powder pattern
Compound: Cd2HgF6
Radiation: Cu Kα
Structure: a DFT-relaxed cell (GGA-PBE, Alexandria)

Cell and atoms:
```
data_Cd2HgF6
_space_group_name_H-M_alt 'P -3 1 m'
_space_group_IT_number 162
_space_group_name_Hall '-P 3 2'
_cell_length_a 5.9365
_cell_length_b 5.9365
_cell_length_c 4.7633
_cell_angle_alpha 90.00
_cell_angle_beta 90.00
_cell_angle_gamma 120.00
loop_
_atom_site_label
_atom_site_type_symbol
_atom_site_fract_x
_atom_site_fract_y
_atom_site_fract_z
Cd1 Cd 0.3333 0.6667 0.0000
Hg1 Hg 0.0000 0.0000 0.5000
F1 F 0.0000 0.3387 0.2397
```

Most intense lines, 2θ from 10° to 90°, by angle:
2θ (°)	I_rel	h k l
25.5	100	1 0 1
30.1	45	1 1 0
39.8	31	2 0 1
49.0	40	2 -1 2
50.7	31	3 -1 1
53.5	19	3 0 0